No. 1
Diffraction record for TbTm12Tl6. The XRD peak list is theoretical, not measured: it uses a cell relaxed with GGA-PBE and copper Kα.
Neutral-atom scattering factors, no anomalous dispersion.

```
data_TbTm12Tl6
_cell_length_a 13.8867
_cell_length_b 13.8867
_cell_length_c 10.9814
_cell_angle_alpha 90.00
_cell_angle_beta 90.00
_cell_angle_gamma 120.00
_symmetry_space_group_name_H-M 'R -3 m'
_symmetry_Int_Tables_number 166
_symmetry_space_group_name_Hall '-R 3 2"'
loop_
_atom_site_label
_atom_site_type_symbol
_atom_site_fract_x
_atom_site_fract_y
_atom_site_fract_z
Tb1 Tb 0.0000 0.0000 0.0000
Tm1 Tm 0.0000 0.3690 0.5000
Tm2 Tm 0.0880 0.1759 0.3583
Tl1 Tl 0.0321 0.5160 0.2795
```

The 12 most intense peaks (10° ≤ 2θ ≤ 90°), in order of falling intensity:
two_theta, I/Imax
28.0, 1000
33.1, 838
34.0, 808
33.5, 713
41.0, 653
12.7, 405
27.5, 399
36.0, 363
31.4, 350
10.9, 306
58.9, 296
34.2, 290

No. 2
Diffraction record for Tb2Tm7Tl2. The XRD peak list is theoretical, not measured: it uses a cell relaxed with GGA-PBE and copper Kα.
Neutral-atom scattering factors, no anomalous dispersion.

```
data_Tb2Tm7Tl2
_cell_length_a 3.6194
_cell_length_b 19.5239
_cell_length_c 9.5516
_cell_angle_alpha 90.00
_cell_angle_beta 90.00
_cell_angle_gamma 90.00
_symmetry_space_group_name_H-M 'I m m 2'
_symmetry_Int_Tables_number 44
loop_
_symmetry_equiv_pos_as_xyz
'x,y,z'
'-x,-y,z'
'-x,y,z'
'x,-y,z'
'x+1/2,y+1/2,z+1/2'
'-x+1/2,-y+1/2,z+1/2'
'-x+1/2,y+1/2,z+1/2'
'x+1/2,-y+1/2,z+1/2'
loop_
_atom_site_label
_atom_site_type_symbol
_atom_site_fract_x
_atom_site_fract_y
_atom_site_fract_z
Tb1 Tb 0.0000 0.0000 0.0000
Tb2 Tb 0.0000 0.5000 0.1724
Tm1 Tm 0.0000 0.1328 0.5341
Tm2 Tm 0.0000 0.1588 0.1643
Tm3 Tm 0.0000 0.3663 0.3525
Tm4 Tm 0.0000 0.5000 0.8253
Tl1 Tl 0.0000 0.2582 0.8763
```

The 12 most intense peaks (10° ≤ 2θ ≤ 90°), in order of falling intensity:
two_theta, I/Imax
32.2, 1000
31.3, 988
34.0, 337
36.8, 247
63.4, 197
37.6, 196
57.7, 185
50.4, 184
60.5, 183
61.9, 169
45.2, 168
38.4, 157

No. 3
Diffraction record for Tb7Tm3Tl. The XRD peak list is theoretical, not measured: it uses a cell relaxed with GGA-PBE and copper Kα.
Neutral-atom scattering factors, no anomalous dispersion.

```
data_Tb7Tm3Tl
_cell_length_a 6.9516
_cell_length_b 6.9516
_cell_length_c 8.4742
_cell_angle_alpha 90.00
_cell_angle_beta 90.00
_cell_angle_gamma 120.00
_symmetry_space_group_name_H-M 'P 3 m 1'
_symmetry_Int_Tables_number 156
loop_
_symmetry_equiv_pos_as_xyz
'x,y,z'
'-y,x-y,z'
'-x+y,-x,z'
'-y,-x,z'
'-x+y,y,z'
'x,x-y,z'
loop_
_atom_site_label
_atom_site_type_symbol
_atom_site_fract_x
_atom_site_fract_y
_atom_site_fract_z
Tb1 Tb 0.0000 0.0000 0.0000
Tb2 Tb 0.1634 0.3268 0.6627
Tb3 Tb 0.5014 0.0029 0.9909
Tm1 Tm 0.3310 0.1655 0.3272
Tl1 Tl 0.6667 0.3333 0.6556
```

The 12 most intense peaks (10° ≤ 2θ ≤ 90°), in order of falling intensity:
two_theta, I/Imax
31.5, 1000
36.6, 671
62.7, 419
31.7, 327
52.7, 237
52.8, 235
62.9, 139
65.9, 122
86.3, 119
89.1, 112
89.4, 110
14.7, 80

No. 4
Diffraction record for Tb8Tm5Tl. The XRD peak list is theoretical, not measured: it uses a cell relaxed with GGA-PBE and copper Kα.
Neutral-atom scattering factors, no anomalous dispersion.

```
data_Tb8Tm5Tl
_cell_length_a 10.4527
_cell_length_b 10.4527
_cell_length_c 8.2953
_cell_angle_alpha 90.00
_cell_angle_beta 90.00
_cell_angle_gamma 90.00
_symmetry_space_group_name_H-M 'I -4 m 2'
_symmetry_Int_Tables_number 119
_symmetry_space_group_name_Hall 'I -4 -2'
loop_
_atom_site_label
_atom_site_type_symbol
_atom_site_fract_x
_atom_site_fract_y
_atom_site_fract_z
Tb1 Tb 0.0000 0.1609 0.1715
Tb2 Tb 0.2089 0.2089 0.5000
Tm1 Tm 0.0000 0.3084 0.8403
Tm2 Tm 0.0000 0.5000 0.2500
Tl1 Tl 0.0000 0.0000 0.5000
```

The 12 most intense peaks (10° ≤ 2θ ≤ 90°), in order of falling intensity:
two_theta, I/Imax
32.7, 1000
27.8, 518
34.7, 480
33.5, 454
32.4, 321
27.5, 292
34.3, 254
50.5, 200
55.1, 164
44.7, 157
55.9, 153
58.1, 146

No. 5
Diffraction record for Tb2Tm3Tl2. The XRD peak list is theoretical, not measured: it uses a cell relaxed with GGA-PBE and copper Kα.
Neutral-atom scattering factors, no anomalous dispersion.

```
data_Tb2Tm3Tl2
_cell_length_a 9.2860
_cell_length_b 5.3671
_cell_length_c 8.5898
_cell_angle_alpha 90.00
_cell_angle_beta 111.17
_cell_angle_gamma 90.00
_symmetry_space_group_name_H-M 'C 1 2/m 1'
_symmetry_Int_Tables_number 12
loop_
_symmetry_equiv_pos_as_xyz
'x,y,z'
'-x,-y,-z'
'-x,y,-z'
'x,-y,z'
'x+1/2,y+1/2,z'
'-x+1/2,-y+1/2,-z'
'-x+1/2,y+1/2,-z'
'x+1/2,-y+1/2,z'
loop_
_atom_site_label
_atom_site_type_symbol
_atom_site_fract_x
_atom_site_fract_y
_atom_site_fract_z
Tb1 Tb 0.0746 0.0000 0.2236
Tm1 Tm 0.0000 0.5000 0.5000
Tm2 Tm 0.1533 0.5000 0.9598
Tl1 Tl 0.2167 0.0000 0.6501
```

The 12 most intense peaks (10° ≤ 2θ ≤ 90°), in order of falling intensity:
two_theta, I/Imax
32.4, 1000
33.4, 988
59.1, 366
47.2, 355
59.7, 189
57.2, 165
77.8, 136
70.2, 117
79.4, 105
67.9, 99
89.0, 62
79.5, 52

No. 6
Diffraction record for Tb3TmTl. The XRD peak list is theoretical, not measured: it uses a cell relaxed with GGA-PBE and copper Kα.
Neutral-atom scattering factors, no anomalous dispersion.

```
data_Tb3TmTl
_cell_length_a 5.3324
_cell_length_b 8.5013
_cell_length_c 6.8787
_cell_angle_alpha 90.00
_cell_angle_beta 90.00
_cell_angle_gamma 90.00
_symmetry_space_group_name_H-M 'P m m n'
_symmetry_Int_Tables_number 59
loop_
_symmetry_equiv_pos_as_xyz
'x,y,z'
'-x,-y,-z'
'-x+1/2,-y+1/2,z'
'x+1/2,y+1/2,-z'
'x+1/2,-y,-z'
'-x+1/2,y,z'
'-x,y+1/2,-z'
'x,-y+1/2,z'
loop_
_atom_site_label
_atom_site_type_symbol
_atom_site_fract_x
_atom_site_fract_y
_atom_site_fract_z
Tb1 Tb 0.2500 0.0564 0.2309
Tb2 Tb 0.2500 0.2500 0.7090
Tm1 Tm 0.2500 0.7500 0.5633
Tl1 Tl 0.2500 0.7500 0.9901
```

The 12 most intense peaks (10° ≤ 2θ ≤ 90°), in order of falling intensity:
two_theta, I/Imax
32.7, 1000
29.9, 891
33.6, 780
35.9, 295
63.5, 273
48.2, 208
20.9, 198
59.5, 183
34.2, 173
62.7, 165
51.3, 145
57.8, 140

No. 7
Diffraction record for Tb6TmTl6. The XRD peak list is theoretical, not measured: it uses a cell relaxed with GGA-PBE and copper Kα.
Neutral-atom scattering factors, no anomalous dispersion.

```
data_Tb6TmTl6
_cell_length_a 6.4490
_cell_length_b 6.4490
_cell_length_c 10.5844
_cell_angle_alpha 90.00
_cell_angle_beta 90.00
_cell_angle_gamma 120.00
_symmetry_space_group_name_H-M 'P 6/m m m'
_symmetry_Int_Tables_number 191
_symmetry_space_group_name_Hall '-P 6 2'
loop_
_atom_site_label
_atom_site_type_symbol
_atom_site_fract_x
_atom_site_fract_y
_atom_site_fract_z
Tb1 Tb 0.0000 0.0000 0.1663
Tb2 Tb 0.3333 0.6667 0.0000
Tb3 Tb 0.3333 0.6667 0.5000
Tm1 Tm 0.0000 0.0000 0.5000
Tl1 Tl 0.0000 0.5000 0.2532
```

The 12 most intense peaks (10° ≤ 2θ ≤ 90°), in order of falling intensity:
two_theta, I/Imax
36.4, 1000
32.5, 649
32.1, 579
57.1, 327
33.9, 301
59.8, 248
68.1, 244
27.7, 234
37.6, 202
30.0, 191
52.1, 174
47.3, 169

No. 8
Diffraction record for TbTlV. The XRD peak list is theoretical, not measured: it uses a cell relaxed with GGA-PBE and copper Kα.
Neutral-atom scattering factors, no anomalous dispersion.

```
data_TbTlV
_cell_length_a 3.3297
_cell_length_b 3.3297
_cell_length_c 12.7302
_cell_angle_alpha 90.00
_cell_angle_beta 90.00
_cell_angle_gamma 90.00
_symmetry_space_group_name_H-M 'P 4/n m m'
_symmetry_Int_Tables_number 129
loop_
_symmetry_equiv_pos_as_xyz
'x,y,z'
'-x,-y,-z'
'-y+1/2,x,z'
'y+1/2,-x,-z'
'-x+1/2,-y+1/2,z'
'x+1/2,y+1/2,-z'
'y,-x+1/2,z'
'-y,x+1/2,-z'
'x+1/2,-y,-z'
'-x+1/2,y,z'
'-y,-x,-z'
'y,x,z'
'-x,y+1/2,-z'
'x,-y+1/2,z'
'y+1/2,x+1/2,-z'
'-y+1/2,-x+1/2,z'
loop_
_atom_site_label
_atom_site_type_symbol
_atom_site_fract_x
_atom_site_fract_y
_atom_site_fract_z
Tb1 Tb 0.2500 0.2500 0.1988
Tl1 Tl 0.2500 0.2500 0.5982
V1 V 0.2500 0.2500 0.9608
```

The 12 most intense peaks (10° ≤ 2θ ≤ 90°), in order of falling intensity:
two_theta, I/Imax
34.2, 1000
30.3, 926
38.2, 618
53.0, 409
35.3, 324
66.6, 291
64.2, 227
55.2, 213
67.2, 201
65.0, 166
57.8, 129
84.0, 93

No. 9
Diffraction record for Tb2Y3Tl2. The XRD peak list is theoretical, not measured: it uses a cell relaxed with GGA-PBE and copper Kα.
Neutral-atom scattering factors, no anomalous dispersion.

```
data_Tb2Y3Tl2
_cell_length_a 9.3894
_cell_length_b 5.4239
_cell_length_c 8.6645
_cell_angle_alpha 90.00
_cell_angle_beta 111.22
_cell_angle_gamma 90.00
_symmetry_space_group_name_H-M 'C 1 2/m 1'
_symmetry_Int_Tables_number 12
loop_
_symmetry_equiv_pos_as_xyz
'x,y,z'
'-x,-y,-z'
'-x,y,-z'
'x,-y,z'
'x+1/2,y+1/2,z'
'-x+1/2,-y+1/2,-z'
'-x+1/2,y+1/2,-z'
'x+1/2,-y+1/2,z'
loop_
_atom_site_label
_atom_site_type_symbol
_atom_site_fract_x
_atom_site_fract_y
_atom_site_fract_z
Tb1 Tb 0.0754 0.0000 0.2259
Y1 Y 0.0000 0.5000 0.5000
Y2 Y 0.1536 0.5000 0.9608
Tl1 Tl 0.2170 0.0000 0.6514
```

The 12 most intense peaks (10° ≤ 2θ ≤ 90°), in order of falling intensity:
two_theta, I/Imax
32.1, 1000
33.0, 982
58.4, 363
46.7, 353
59.0, 186
56.7, 168
78.5, 156
76.9, 137
69.3, 115
19.3, 102
67.2, 101
20.3, 77

No. 10
Diffraction record for Tb7Y12Tl. The XRD peak list is theoretical, not measured: it uses a cell relaxed with GGA-PBE and copper Kα.
Neutral-atom scattering factors, no anomalous dispersion.

```
data_Tb7Y12Tl
_cell_length_a 11.9698
_cell_length_b 11.9698
_cell_length_c 15.8253
_cell_angle_alpha 90.00
_cell_angle_beta 90.00
_cell_angle_gamma 120.00
_symmetry_space_group_name_H-M 'R -3'
_symmetry_Int_Tables_number 148
_symmetry_space_group_name_Hall '-R 3'
loop_
_atom_site_label
_atom_site_type_symbol
_atom_site_fract_x
_atom_site_fract_y
_atom_site_fract_z
Tb1 Tb 0.0000 0.0000 0.0000
Tb2 Tb 0.0590 0.1878 0.2947
Y1 Y 0.0372 0.4589 0.2155
Y2 Y 0.0563 0.5829 0.5847
Tl1 Tl 0.0000 0.0000 0.5000
```

The 12 most intense peaks (10° ≤ 2θ ≤ 90°), in order of falling intensity:
two_theta, I/Imax
33.2, 1000
31.6, 875
30.9, 571
32.2, 435
29.5, 402
51.8, 249
28.4, 229
24.1, 199
53.4, 183
55.1, 179
55.3, 169
37.3, 160

No. 11
Diffraction record for TbY4Tl2. The XRD peak list is theoretical, not measured: it uses a cell relaxed with GGA-PBE and copper Kα.
Neutral-atom scattering factors, no anomalous dispersion.

```
data_TbY4Tl2
_cell_length_a 5.2787
_cell_length_b 5.2787
_cell_length_c 28.9304
_cell_angle_alpha 90.00
_cell_angle_beta 90.00
_cell_angle_gamma 120.00
_symmetry_space_group_name_H-M 'R -3 m'
_symmetry_Int_Tables_number 166
_symmetry_space_group_name_Hall '-R 3 2"'
loop_
_atom_site_label
_atom_site_type_symbol
_atom_site_fract_x
_atom_site_fract_y
_atom_site_fract_z
Tb1 Tb 0.0000 0.0000 0.0000
Y1 Y 0.0000 0.0000 0.2133
Y2 Y 0.0000 0.0000 0.3801
Tl1 Tl 0.0000 0.0000 0.1043
```

The 12 most intense peaks (10° ≤ 2θ ≤ 90°), in order of falling intensity:
two_theta, I/Imax
34.0, 1000
19.7, 661
36.8, 497
31.5, 339
44.4, 314
39.5, 223
23.0, 212
62.6, 211
50.9, 197
60.8, 186
27.8, 184
64.5, 158

No. 12
Diffraction record for Tb4Y4Tl. The XRD peak list is theoretical, not measured: it uses a cell relaxed with GGA-PBE and copper Kα.
Neutral-atom scattering factors, no anomalous dispersion.

```
data_Tb4Y4Tl
_cell_length_a 10.7330
_cell_length_b 10.7330
_cell_length_c 4.8467
_cell_angle_alpha 90.00
_cell_angle_beta 90.00
_cell_angle_gamma 90.00
_symmetry_space_group_name_H-M 'I 4/m m m'
_symmetry_Int_Tables_number 139
_symmetry_space_group_name_Hall '-I 4 2'
loop_
_atom_site_label
_atom_site_type_symbol
_atom_site_fract_x
_atom_site_fract_y
_atom_site_fract_z
Tb1 Tb 0.0000 0.3375 0.0000
Y1 Y 0.1611 0.1611 0.5000
Tl1 Tl 0.0000 0.0000 0.0000
```

The 12 most intense peaks (10° ≤ 2θ ≤ 90°), in order of falling intensity:
two_theta, I/Imax
31.1, 1000
35.5, 393
61.0, 284
52.3, 230
37.1, 156
63.1, 130
51.1, 122
64.8, 119
85.4, 112
16.5, 69
85.9, 58
83.5, 57

No. 13
Diffraction record for Tb2YTl4. The XRD peak list is theoretical, not measured: it uses a cell relaxed with GGA-PBE and copper Kα.
Neutral-atom scattering factors, no anomalous dispersion.

```
data_Tb2YTl4
_cell_length_a 6.4329
_cell_length_b 5.0432
_cell_length_c 6.5920
_cell_angle_alpha 90.00
_cell_angle_beta 99.46
_cell_angle_gamma 90.00
_symmetry_space_group_name_H-M 'P 1 m 1'
_symmetry_Int_Tables_number 6
loop_
_symmetry_equiv_pos_as_xyz
'x,y,z'
'x,-y,z'
loop_
_atom_site_label
_atom_site_type_symbol
_atom_site_fract_x
_atom_site_fract_y
_atom_site_fract_z
Tb1 Tb 0.0000 0.0000 0.0000
Tb2 Tb 0.4168 0.0000 0.5502
Y1 Y 0.7068 0.5000 0.2738
Tl1 Tl 0.2071 0.5000 0.2766
Tl2 Tl 0.2077 0.5000 0.7764
Tl3 Tl 0.5025 0.0000 0.0382
Tl4 Tl 0.9138 0.0000 0.5108
```

The 12 most intense peaks (10° ≤ 2θ ≤ 90°), in order of falling intensity:
two_theta, I/Imax
32.8, 1000
33.4, 851
35.6, 416
36.2, 315
62.5, 282
51.7, 230
14.0, 207
43.0, 205
22.5, 202
57.0, 180
62.2, 162
33.9, 125

No. 14
Diffraction record for Tb5YTl2. The XRD peak list is theoretical, not measured: it uses a cell relaxed with GGA-PBE and copper Kα.
Neutral-atom scattering factors, no anomalous dispersion.

```
data_Tb5YTl2
_cell_length_a 3.6202
_cell_length_b 10.5909
_cell_length_c 12.6279
_cell_angle_alpha 90.00
_cell_angle_beta 90.00
_cell_angle_gamma 90.00
_symmetry_space_group_name_H-M 'I m m m'
_symmetry_Int_Tables_number 71
_symmetry_space_group_name_Hall '-I 2 2'
loop_
_atom_site_label
_atom_site_type_symbol
_atom_site_fract_x
_atom_site_fract_y
_atom_site_fract_z
Tb1 Tb 0.0000 0.0000 0.0000
Tb2 Tb 0.0000 0.2738 0.3655
Y1 Y 0.0000 0.5000 0.0000
Tl1 Tl 0.0000 0.0000 0.2648
```

The 12 most intense peaks (10° ≤ 2θ ≤ 90°), in order of falling intensity:
two_theta, I/Imax
33.0, 1000
30.7, 561
32.6, 492
33.9, 396
61.6, 337
35.5, 280
47.7, 275
59.9, 251
38.8, 226
58.3, 182
29.7, 162
26.0, 156